For MnCoSb, a PBE-relaxed structure gives the simulated powder XRD pattern in this record (Cu Kα (λ = 1.5418 Å)).

Cell and atoms:
```
data_MnCoSb
_chemical_formula_sum 'Mn1 Co1 Sb1'
_space_group_name_H-M_alt 'P 1'
_space_group_IT_number 1
_space_group_name_Hall 'P 1'
_cell_length_a 4.121
_cell_length_b 4.121
_cell_length_c 4.121
_cell_angle_alpha 60.00
_cell_angle_beta 60.00
_cell_angle_gamma 60.00
loop_
_atom_site_label
_atom_site_fract_x
_atom_site_fract_y
_atom_site_fract_z
Mn1 0.000 0.000 0.000
Co1 0.750 0.750 0.750
Sb1 0.250 0.250 0.250
```

Peak list (10 most intense, 2θ = 10–90°, low angle first)
two_theta	intensity
26.49	31.0
30.68	38.6
43.94	100.0
52.05	14.0
54.55	10.0
63.90	15.4
70.43	5.6
72.54	12.7
80.79	30.9
86.85	4.4


For MnCoSb, a PBE-relaxed structure gives the simulated powder XRD pattern in this record (Cu Kα (λ = 1.5418 Å)).

Cell and atoms:
```
data_MnCoSb
_chemical_formula_sum 'Mn1 Co1 Sb1'
_space_group_name_H-M_alt 'P 1'
_space_group_IT_number 1
_space_group_name_Hall 'P 1'
_cell_length_a 4.224
_cell_length_b 4.224
_cell_length_c 4.224
_cell_angle_alpha 60.00
_cell_angle_beta 60.00
_cell_angle_gamma 60.00
loop_
_atom_site_label
_atom_site_fract_x
_atom_site_fract_y
_atom_site_fract_z
Mn1 0.000 0.000 0.000
Co1 0.500 0.500 0.500
Sb1 0.750 0.750 0.750
```

Peak list (7 most intense, 2θ = 10–90°, low angle first)
two_theta	intensity
25.83	67.5
42.81	100.0
50.68	31.4
62.15	15.6
68.46	12.5
78.42	30.9
84.22	9.6


For MnCoSe2, a PBE-relaxed structure gives the simulated powder XRD pattern in this record (Cu Kα (λ = 1.5418 Å)).

Cell and atoms:
```
data_MnCoSe2
_chemical_formula_sum 'Mn1 Co1 Se2'
_space_group_name_H-M_alt 'P 1'
_space_group_IT_number 1
_space_group_name_Hall 'P 1'
_cell_length_a 6.154
_cell_length_b 6.154
_cell_length_c 6.154
_cell_angle_alpha 35.27
_cell_angle_beta 35.27
_cell_angle_gamma 35.27
loop_
_atom_site_label
_atom_site_fract_x
_atom_site_fract_y
_atom_site_fract_z
Mn1 0.000 0.000 0.000
Co1 0.500 0.500 0.500
Se1 0.242 0.242 0.242
Se2 0.758 0.758 0.758
```

Peak list (10 most intense, 2θ = 10–90°, low angle first)
two_theta	intensity
15.37	2.7
29.53	3.2
34.67	100.0
48.85	37.2
50.83	30.1
61.29	17.9
64.67	4.2
73.16	9.7
82.05	15.2
85.08	11.5


For MnCoSe2, a PBE-relaxed structure gives the simulated powder XRD pattern in this record (Cu Kα (λ = 1.5418 Å)).

Cell and atoms:
```
data_MnCoSe2
_chemical_formula_sum 'Mn1 Co1 Se2'
_space_group_name_H-M_alt 'P 1'
_space_group_IT_number 1
_space_group_name_Hall 'P 1'
_cell_length_a 3.577
_cell_length_b 3.577
_cell_length_c 5.306
_cell_angle_alpha 90.00
_cell_angle_beta 90.00
_cell_angle_gamma 120.00
loop_
_atom_site_label
_atom_site_fract_x
_atom_site_fract_y
_atom_site_fract_z
Mn1 0.000 0.000 0.000
Co1 0.000 0.000 0.500
Se1 0.333 0.667 0.251
Se2 0.667 0.333 0.749
```

Peak list (10 most intense, 2θ = 10–90°, low angle first)
two_theta	intensity
28.82	6.1
33.50	100.0
44.99	87.5
51.07	58.5
60.25	17.9
62.46	16.0
70.39	21.3
71.06	6.9
82.84	7.3
84.79	13.9


Question: Number 4 is which compound?
Answer: MnCoSe2